The following is a simulated powder XRD pattern of CaSmV4O12. It was derived from the PBE+U geometry in Alexandria, using Cu Kα X-rays.

Principal peaks in the range 10 to 90 degrees two-theta, low angle first:
2θ (°), I (rel.)
11.6, 24
16.8, 24
20.5, 100
33.7, 77
34.0, 44
40.1, 34
47.9, 22
48.9, 38
60.7, 33
70.8, 21

Structural model:
```
data_CaSmV4O12
_space_group_name_H-M_alt 'C m m m'
_space_group_IT_number 65
_space_group_name_Hall '-C 2 2'
_cell_length_a 7.4462
_cell_length_b 7.4568
_cell_length_c 7.5986
_cell_angle_alpha 90.00
_cell_angle_beta 90.00
_cell_angle_gamma 90.00
loop_
_atom_site_label
_atom_site_fract_x
_atom_site_fract_y
_atom_site_fract_z
Ca1 0.0000 0.0000 0.0000
Sm1 0.0000 0.5000 0.5000
V1 0.2500 0.2500 0.2471
O1 0.0000 0.2108 0.2497
O2 0.2068 0.5000 0.2531
O3 0.2500 0.2500 0.0000
O4 0.2500 0.2500 0.5000
```